# 1
For Tm6Ir5, a cell relaxed with PBE gives the computed PXRD pattern in this record (CuKα).
Kinematic intensities with the Lorentz-polarization factor, no thermal factor.

Most intense lines, 2θ from 10° to 80°, sorted by position:
- 12.24 deg, I = 3
- 14.77 deg, I = 4
- 22.87 deg, I = 3
- 37.35 deg, I = 52
- 37.99 deg, I = 100
- 53.86 deg, I = 18
- 55.77 deg, I = 8
- 67.80 deg, I = 37
- 69.06 deg, I = 18
- 79.74 deg, I = 3

Structure:
Unit cell a=8.3011 b=8.3011 c=8.3011 alpha=146.31 beta=133.20 gamma=58.89
Element x y z (fractional)
Tm  0.0822  0.3344  0.7479
Tm  0.2478  0.0000  0.2478
Tm  0.4135  0.6656  0.7479
Tm  0.5865  0.3344  0.2521
Tm  0.7522  0.0000  0.7522
Tm  0.9178  0.6656  0.2521
Ir  0.1683  0.1683  0.0000
Ir  0.3343  0.8343  0.5000
Ir  0.5000  0.5000  0.0000
Ir  0.6657  0.1657  0.5000
Ir  0.8317  0.8317  0.0000

=====

# 2
For Tb8Er6Cd, a cell relaxed with PBE gives the computed PXRD pattern in this record (CuKα).
Kinematic intensities with the Lorentz-polarization factor, no thermal factor.

Most intense lines, 2θ from 10° to 80°, sorted by position:
- 26.26 deg, I = 11
- 28.59 deg, I = 16
- 29.22 deg, I = 23
- 30.70 deg, I = 10
- 32.62 deg, I = 100
- 34.56 deg, I = 18
- 41.33 deg, I = 15
- 51.80 deg, I = 18
- 60.24 deg, I = 10
- 62.57 deg, I = 12

Structure:
Unit cell a=9.3384 b=9.3384 c=6.2436 alpha=90.00 beta=90.00 gamma=120.00
Element x y z (fractional)
Tb  0.0000  0.0000  0.0000
Tb  0.0679  0.6259  0.3805
Tb  0.1056  0.3977  0.0014
Tb  0.2921  0.8944  0.0014
Tb  0.3741  0.4420  0.3805
Tb  0.5580  0.9321  0.3805
Tb  0.6023  0.7079  0.0014
Tb  0.6667  0.3333  0.3790
Er  0.2392  0.0291  0.5049
Er  0.4276  0.3059  0.8759
Er  0.6941  0.1217  0.8759
Er  0.7899  0.7608  0.5049
Er  0.8783  0.5724  0.8759
Er  0.9709  0.2101  0.5049
Cd  0.3333  0.6667  0.6950

=====

# 3
For Ho2TcPbO8, a cell relaxed with PBE gives the computed PXRD pattern in this record (CuKα).
Kinematic intensities with the Lorentz-polarization factor, no thermal factor.

Most intense lines, 2θ from 10° to 80°, sorted by position:
- 24.91 deg, I = 57
- 25.59 deg, I = 51
- 31.72 deg, I = 100
- 36.02 deg, I = 29
- 48.36 deg, I = 40
- 49.13 deg, I = 36
- 59.03 deg, I = 10
- 59.97 deg, I = 10
- 62.08 deg, I = 21
- 66.27 deg, I = 11

Structure:
Unit cell a=4.9891 b=4.9891 c=6.8401 alpha=90.00 beta=90.00 gamma=91.52
Element x y z (fractional)
Ho  0.0000  0.0000  0.2455
Ho  0.0000  0.0000  0.7545
Tc  0.5000  0.5000  0.0000
Pb  0.5000  0.5000  0.5000
O  0.1903  0.1903  0.5000
O  0.2264  0.2264  0.0000
O  0.3166  0.6834  0.2077
O  0.3166  0.6834  0.7923
O  0.6834  0.3166  0.2077
O  0.6834  0.3166  0.7923
O  0.7736  0.7736  0.0000
O  0.8097  0.8097  0.5000

=====

# 4
For Nd3Co, a cell relaxed with PBE gives the computed PXRD pattern in this record (CuKα).
Kinematic intensities with the Lorentz-polarization factor, no thermal factor.

Most intense lines, 2θ from 10° to 80°, sorted by position:
- 27.66 deg, I = 59
- 28.46 deg, I = 33
- 29.48 deg, I = 88
- 30.46 deg, I = 42
- 30.70 deg, I = 100
- 34.15 deg, I = 100
- 34.38 deg, I = 69
- 35.24 deg, I = 34
- 36.72 deg, I = 92
- 53.52 deg, I = 40

Structure:
Unit cell a=11.7405 b=11.7405 c=6.5096 alpha=90.00 beta=90.00 gamma=90.00
Element x y z (fractional)
Nd  0.0335  0.5933  0.1914
Nd  0.0933  0.9665  0.6914
Nd  0.1110  0.6715  0.6919
Nd  0.1241  0.1862  0.0220
Nd  0.1715  0.8890  0.1919
Nd  0.1862  0.3759  0.4780
Nd  0.3138  0.1241  0.4780
Nd  0.3285  0.6110  0.1919
Nd  0.3759  0.3138  0.0220
Nd  0.3890  0.8285  0.6919
Nd  0.4067  0.5335  0.6914
Nd  0.4665  0.9067  0.1914
Nd  0.5335  0.0933  0.8086
Nd  0.5933  0.4665  0.3086
Nd  0.6110  0.1715  0.3081
Nd  0.6241  0.6862  0.9780
Nd  0.6715  0.3890  0.8081
Nd  0.6862  0.8759  0.5220
Nd  0.8138  0.6241  0.5220
Nd  0.8285  0.1110  0.8081
Nd  0.8759  0.8138  0.9780
Nd  0.8890  0.3285  0.3081
Nd  0.9067  0.0335  0.3086
Nd  0.9665  0.4067  0.8086
Co  0.0666  0.1717  0.4882
Co  0.1717  0.4334  0.0118
Co  0.3283  0.0666  0.0118
Co  0.4334  0.3283  0.4882
Co  0.5666  0.6717  0.5118
Co  0.6717  0.9334  0.9882
Co  0.8283  0.5666  0.9882
Co  0.9334  0.8283  0.5118